Theoretical XRD peak list
Compound: Bi3Te5Pb
Radiation: copper Kα
Structure: a DFT-relaxed cell (GGA-PBE, the Materials Project)
No peak broadening, texture or thermal motion is included.

Lattice parameters (Å, degrees): 4.6267 4.6267 17.1372 90.00 90.00 120.00
Space group P3m1 (No. 156)
Inequivalent atoms, fractional coordinates:
Bi: 0.0000 0.0000 0.0000 (multiplicity 1)
Bi: 0.3333 0.6667 0.4478 (multiplicity 1)
Bi: 0.6667 0.3333 0.2259 (multiplicity 1)
Te: 0.0000 0.0000 0.3334 (multiplicity 1)
Te: 0.3333 0.6667 0.1257 (multiplicity 1)
Te: 0.3333 0.6667 0.7695 (multiplicity 1)
Te: 0.6667 0.3333 0.5415 (multiplicity 1)
Te: 0.6667 0.3333 0.9096 (multiplicity 1)
Pb: 0.0000 0.0000 0.6776 (multiplicity 1)

Main lines, in order of rising 2θ (2θ = 10–90°):
| hkl | two_theta | Rel. int. |
| --- | --- | --- |
| 0 1 3 | 27.2 | 100 |
| 1 0 6 | 38.7 | 36 |
| 1 1 0 | 38.9 | 40 |
| 2 0 3 | 48.1 | 21 |
| 0 2 6 | 56.1 | 13 |
| 1 1 9 | 63.3 | 15 |
| 1 2 3 | 63.6 | 19 |
| 2 1 6 | 70.4 | 13 |
| 3 0 0 | 70.5 | 7 |
| 3 1 3 | 89.9 | 8 |